[1]
The following is a theoretical XRD peak list of Tm6Ga2Tc. It was derived from a DFT-relaxed cell (GGA-PBE, Alexandria), using λ = 1.5418 Å (Cu Kα).
Intensities are scaled so that the largest is 100.

Most intense lines, 2θ = 15–90°, sorted by position:
| Position (°2θ) | intensity |
| --- | --- |
| 25.75 | 23 |
| 26.04 | 45 |
| 36.63 | 26 |
| 36.95 | 100 |
| 37.69 | 23 |
| 66.13 | 27 |

Atomic structure:
```
data_Tm6Ga2Tc
_symmetry_space_group_name_H-M 'I m m m'
_symmetry_Int_Tables_number 71
_symmetry_space_group_name_Hall '-I 2 2'
_cell_length_a 4.9069
_cell_length_b 6.9204
_cell_length_c 14.3217
_cell_angle_alpha 90.00
_cell_angle_beta 90.00
_cell_angle_gamma 90.00
loop_
_atom_site_label
_atom_site_type_symbol
_atom_site_fract_x
_atom_site_fract_y
_atom_site_fract_z
Tm1 Tm 0.0000 0.2356 0.0000
Tm2 Tm 0.0000 0.2537 0.3405
Ga1 Ga 0.0000 0.5000 0.1670
Tc1 Tc 0.0000 0.5000 0.5000
```



[2]
The following is a theoretical XRD peak list of Ac4Tl2HgN2. It was derived from a DFT-relaxed cell (GGA-PBE, Alexandria), using λ = 1.5418 Å (Cu Kα).
Intensities are scaled so that the largest is 100.

Most intense lines, 2θ = 15–90°, sorted by position:
| Position (°2θ) | intensity |
| --- | --- |
| 26.52 | 51 |
| 27.57 | 61 |
| 31.02 | 100 |
| 32.29 | 48 |
| 35.57 | 35 |
| 50.10 | 30 |

Atomic structure:
```
data_Ac4Tl2HgN2
_symmetry_space_group_name_H-M 'C 1 2/m 1'
_symmetry_Int_Tables_number 12
_cell_length_a 19.4695
_cell_length_b 4.1455
_cell_length_c 7.7078
_cell_angle_alpha 90.00
_cell_angle_beta 110.46
_cell_angle_gamma 90.00
loop_
_symmetry_equiv_pos_as_xyz
'x,y,z'
'-x,-y,-z'
'-x,y,-z'
'x,-y,z'
'x+1/2,y+1/2,z'
'-x+1/2,-y+1/2,-z'
'-x+1/2,y+1/2,-z'
'x+1/2,-y+1/2,z'
loop_
_atom_site_label
_atom_site_type_symbol
_atom_site_fract_x
_atom_site_fract_y
_atom_site_fract_z
Ac1 Ac 0.0638 0.0000 0.3601
Ac2 Ac 0.2286 0.5000 0.2766
Tl1 Tl 0.1079 0.5000 0.7763
Hg1 Hg 0.0000 0.5000 0.0000
N1 N 0.1867 0.0000 0.3925
```



[3]
The following is a theoretical XRD peak list of RbHfCu2S4. It was derived from a DFT-relaxed cell (GGA-PBE, Alexandria), using λ = 1.5418 Å (Cu Kα).
Intensities are scaled so that the largest is 100.

Most intense lines, 2θ = 15–90°, sorted by position:
| Position (°2θ) | intensity |
| --- | --- |
| 22.03 | 49 |
| 27.26 | 100 |
| 29.98 | 32 |
| 37.00 | 55 |
| 42.02 | 29 |
| 45.04 | 44 |

Atomic structure:
```
data_RbHfCu2S4
_symmetry_space_group_name_H-M 'I 2 2 2'
_symmetry_Int_Tables_number 23
_cell_length_a 6.0866
_cell_length_b 8.0701
_cell_length_c 8.8463
_cell_angle_alpha 90.00
_cell_angle_beta 90.00
_cell_angle_gamma 90.00
loop_
_symmetry_equiv_pos_as_xyz
'x,y,z'
'-x,-y,z'
'x,-y,-z'
'-x,y,-z'
'x+1/2,y+1/2,z+1/2'
'-x+1/2,-y+1/2,z+1/2'
'x+1/2,-y+1/2,-z+1/2'
'-x+1/2,y+1/2,-z+1/2'
loop_
_atom_site_label
_atom_site_type_symbol
_atom_site_fract_x
_atom_site_fract_y
_atom_site_fract_z
Rb1 Rb 0.0000 0.0000 0.0000
Hf1 Hf 0.0000 0.0000 0.5000
Cu1 Cu 0.0000 0.5000 0.1371
S1 S 0.2277 0.1715 0.3415
```



[4]
The following is a theoretical XRD peak list of HoCu6. It was derived from a DFT-relaxed cell (GGA-PBE, Alexandria), using λ = 1.5418 Å (Cu Kα).
Intensities are scaled so that the largest is 100.

Most intense lines, 2θ = 15–90°, sorted by position:
| Position (°2θ) | intensity |
| --- | --- |
| 35.63 | 37 |
| 37.72 | 60 |
| 39.44 | 100 |
| 39.55 | 83 |
| 42.49 | 42 |
| 46.57 | 87 |

Atomic structure:
```
data_HoCu6
_symmetry_space_group_name_H-M 'P n m a'
_symmetry_Int_Tables_number 62
_cell_length_a 7.9553
_cell_length_b 5.0392
_cell_length_c 9.9997
_cell_angle_alpha 90.00
_cell_angle_beta 90.00
_cell_angle_gamma 90.00
loop_
_symmetry_equiv_pos_as_xyz
'x,y,z'
'-x,-y,-z'
'-x+1/2,-y,z+1/2'
'x+1/2,y,-z+1/2'
'x+1/2,-y+1/2,-z+1/2'
'-x+1/2,y+1/2,z+1/2'
'-x,y+1/2,-z'
'x,-y+1/2,z'
loop_
_atom_site_label
_atom_site_type_symbol
_atom_site_fract_x
_atom_site_fract_y
_atom_site_fract_z
Ho1 Ho 0.2420 0.2500 0.0648
Cu1 Cu 0.0638 0.7500 0.0919
Cu2 Cu 0.0651 0.0071 0.3084
Cu3 Cu 0.1007 0.2500 0.5178
Cu4 Cu 0.1461 0.7500 0.8546
Cu5 Cu 0.1832 0.2500 0.7575
```